MnCuSbO5: calculated XRD peak list (Cu Kα X-rays), based on a cell relaxed with GGA+U.
No peak broadening, texture or thermal motion is included.

Crystal structure
a b c (Å): 7.404 8.677 7.561
angles (deg): 90.00 118.73 90.00
Space group C2/c (No. 15)
Inequivalent atoms, fractional coordinates:
Mn  0.000  0.201  0.250 [4 per cell]
Cu  0.000  0.153  0.750 [4 per cell]
Sb  0.000  0.500  0.000 [4 per cell]
O  0.000  0.434  0.250 [4 per cell]
O  0.003  0.268  0.972 [8 per cell]
O  0.194  0.015  0.352 [8 per cell]

Peak list (10 most intense, 15 to 90 degrees two-theta, in order of rising 2θ)
2θ (°), I/Imax, hkl
17.06, 35, 1 1 0
25.72, 100, 1 1 -2
27.48, 78, 2 0 0
33.93, 57, 1 3 0
34.03, 23, 0 2 2
34.70, 21, 2 2 -2
37.37, 18, 1 1 2
38.60, 17, 3 1 -2
48.17, 22, 2 0 -4
52.84, 22, 3 3 0